This entry pairs a crystal structure of Na2PmP2O7 with its calculated X-ray diffraction stick pattern. Radiation: Cu Kα (λ = 1.5418 Å). Structure: the GGA-PBE geometry in Alexandria.

Atomic structure:
```
12
Lattice="2.788 1.609 6.945 -2.788 1.609 6.945 0.000 -3.219 6.945" Properties=species:S:1:pos:R:3 pbc="T T T"
Na 0.000 0.000 4.526
Na 0.000 0.000 16.309
Pm 0.000 0.000 0.000
P 0.000 0.000 8.807
P 0.000 0.000 12.028
O -0.478 -1.403 8.397
O -0.976 -1.115 12.438
O -0.976 1.115 8.397
O 0.000 0.000 10.417
O -0.478 1.403 12.438
O 1.454 0.288 8.397
O 1.454 -0.288 12.438
```

Top 10 peaks for 2θ = 10–80°, by intensity:
2θ/deg	I_rel
20.27	100
28.29	82
32.11	59
12.75	41
25.15	38
41.22	26
51.30	26
54.93	18
41.54	16
47.53	15